For MnAu, DFT lattice parameters and positions (PBE) gives the calculated powder diffraction line list in this record (Cu Ka).
Kinematic intensities with the Lorentz-polarization factor, no thermal factor.

Most intense lines, 10° ≤ 2θ ≤ 80°, low angle first:
| 2θ/deg | intensity |
| --- | --- |
| 26.94 | 20 |
| 27.98 | 37 |
| 39.23 | 100 |
| 39.99 | 47 |
| 48.88 | 17 |
| 55.53 | 9 |
| 57.83 | 16 |
| 63.31 | 8 |
| 70.60 | 18 |
| 72.12 | 33 |

a = 3.1887 Å, b = 3.1887 Å, c = 3.3099 Å
α = 90.00°, β = 90.00°, γ = 90.00°
Fractional positions:
Mn (0.0000, 0.0000, 0.0000)
Au (0.5000, 0.5000, 0.5000)

=====

For Ni3Sn, DFT lattice parameters and positions (PBE) gives the calculated powder diffraction line list in this record (Cu Ka).
Kinematic intensities with the Lorentz-polarization factor, no thermal factor.

Most intense lines, 10° ≤ 2θ ≤ 80°, low angle first:
| 2θ/deg | intensity |
| --- | --- |
| 23.89 | 10 |
| 34.04 | 8 |
| 42.02 | 100 |
| 48.91 | 48 |
| 55.14 | 5 |
| 60.93 | 4 |
| 71.67 | 29 |
| 76.78 | 3 |

a = 3.7243 Å, b = 3.7243 Å, c = 3.7243 Å
α = 90.00°, β = 90.00°, γ = 90.00°
Fractional positions:
Ni (0.0000, 0.0000, 0.5000)
Ni (0.0000, 0.5000, 0.0000)
Ni (0.5000, 0.0000, 0.0000)
Sn (0.5000, 0.5000, 0.5000)

=====

For Sr2TbTiO6, DFT lattice parameters and positions (PBE) gives the calculated powder diffraction line list in this record (Cu Ka).
Kinematic intensities with the Lorentz-polarization factor, no thermal factor.

Most intense lines, 10° ≤ 2θ ≤ 80°, low angle first:
| 2θ/deg | intensity |
| --- | --- |
| 18.38 | 17 |
| 21.25 | 4 |
| 30.24 | 100 |
| 35.61 | 14 |
| 43.29 | 34 |
| 47.40 | 8 |
| 53.71 | 40 |
| 62.88 | 21 |
| 71.35 | 18 |
| 79.41 | 7 |

a = 5.9119 Å, b = 5.9119 Å, c = 5.9119 Å
α = 60.00°, β = 60.00°, γ = 60.00°
Fractional positions:
Sr (0.2500, 0.2500, 0.2500)
Sr (0.7500, 0.7500, 0.7500)
Tb (0.0000, 0.0000, 0.0000)
Ti (0.5000, 0.5000, 0.5000)
O (0.2657, 0.2657, 0.7343)
O (0.2657, 0.7343, 0.2657)
O (0.2657, 0.7343, 0.7343)
O (0.7343, 0.2657, 0.2657)
O (0.7343, 0.2657, 0.7343)
O (0.7343, 0.7343, 0.2657)

=====

For Zr8As5, DFT lattice parameters and positions (PBE) gives the calculated powder diffraction line list in this record (Cu Ka).
Kinematic intensities with the Lorentz-polarization factor, no thermal factor.

Most intense lines, 10° ≤ 2θ ≤ 80°, low angle first:
| 2θ/deg | intensity |
| --- | --- |
| 29.71 | 35 |
| 34.53 | 69 |
| 34.92 | 74 |
| 35.07 | 32 |
| 35.21 | 100 |
| 35.72 | 89 |
| 37.89 | 31 |
| 38.81 | 52 |
| 39.09 | 41 |
| 48.57 | 89 |

a = 10.2377 Å, b = 3.7493 Å, c = 28.8255 Å
α = 90.00°, β = 90.84°, γ = 90.00°
Fractional positions:
Zr (0.0000, 0.0000, 0.0000)
Zr (0.0020, 0.0000, 0.4428)
Zr (0.0021, 0.5000, 0.7352)
Zr (0.0167, 0.5000, 0.9172)
Zr (0.0849, 0.0000, 0.1716)
Zr (0.1621, 0.5000, 0.6269)
Zr (0.1801, 0.5000, 0.3786)
Zr (0.2108, 0.5000, 0.5051)
Zr (0.2484, 0.5000, 0.0112)
Zr (0.2504, 0.0000, 0.2834)
Zr (0.2518, 0.0000, 0.7839)
Zr (0.3281, 0.5000, 0.8819)
Zr (0.3365, 0.5000, 0.1265)
Zr (0.4072, 0.0000, 0.6704)
Zr (0.4973, 0.5000, 0.2353)
Zr (0.4966, 0.5000, 0.4189)
Zr (0.5000, 0.0000, 0.5000)
Zr (0.5034, 0.5000, 0.5811)
Zr (0.5027, 0.5000, 0.7647)
Zr (0.5928, 0.0000, 0.3296)
Zr (0.6635, 0.5000, 0.8735)
Zr (0.6719, 0.5000, 0.1181)
Zr (0.7482, 0.0000, 0.2161)
Zr (0.7496, 0.0000, 0.7166)
Zr (0.7516, 0.5000, 0.9888)
Zr (0.7892, 0.5000, 0.4949)
Zr (0.8199, 0.5000, 0.6214)
Zr (0.8379, 0.5000, 0.3731)
Zr (0.9151, 0.0000, 0.8284)
Zr (0.9833, 0.5000, 0.0828)
Zr (0.9980, 0.0000, 0.5572)
Zr (0.9979, 0.5000, 0.2648)
As (0.0204, 0.0000, 0.3378)
As (0.1080, 0.5000, 0.8290)
As (0.1826, 0.0000, 0.0796)
As (0.2206, 0.0000, 0.9412)
As (0.2381, 0.5000, 0.2139)
As (0.2616, 0.5000, 0.7150)
As (0.2874, 0.0000, 0.4389)
As (0.2980, 0.0000, 0.5746)
As (0.4005, 0.5000, 0.3285)
As (0.4816, 0.0000, 0.8373)
As (0.5184, 0.0000, 0.1627)
As (0.5995, 0.5000, 0.6715)
As (0.7020, 0.0000, 0.4254)
As (0.7126, 0.0000, 0.5611)
As (0.7384, 0.5000, 0.2850)
As (0.7619, 0.5000, 0.7861)
As (0.7794, 0.0000, 0.0588)
As (0.8174, 0.0000, 0.9204)
As (0.8920, 0.5000, 0.1710)
As (0.9796, 0.0000, 0.6622)

=====

For CSe2, DFT lattice parameters and positions (PBE) gives the calculated powder diffraction line list in this record (Cu Ka).
Kinematic intensities with the Lorentz-polarization factor, no thermal factor.

Most intense lines, 10° ≤ 2θ ≤ 80°, low angle first:
| 2θ/deg | intensity |
| --- | --- |
| 21.52 | 12 |
| 24.94 | 38 |
| 27.07 | 100 |
| 29.83 | 14 |
| 39.27 | 13 |
| 45.26 | 24 |
| 46.03 | 11 |
| 49.08 | 11 |
| 51.29 | 10 |
| 55.82 | 12 |

a = 4.6596 Å, b = 4.6596 Å, c = 9.4627 Å
α = 90.00°, β = 90.00°, γ = 79.99°
Fractional positions:
C (0.0000, 0.0000, 0.0000)
C (0.5000, 0.5000, 0.5000)
Se (0.2124, 0.7876, 0.8794)
Se (0.2876, 0.7124, 0.3794)
Se (0.7124, 0.2876, 0.6206)
Se (0.7876, 0.2124, 0.1206)

=====

For La2Ni3, DFT lattice parameters and positions (PBE) gives the calculated powder diffraction line list in this record (Cu Ka).
Kinematic intensities with the Lorentz-polarization factor, no thermal factor.

Most intense lines, 10° ≤ 2θ ≤ 80°, low angle first:
| 2θ/deg | intensity |
| --- | --- |
| 30.21 | 80 |
| 34.99 | 100 |
| 38.97 | 80 |
| 42.08 | 51 |
| 42.60 | 31 |
| 56.08 | 20 |
| 62.32 | 19 |
| 63.66 | 17 |
| 64.10 | 15 |
| 69.33 | 15 |

a = 5.4429 Å, b = 5.4429 Å, c = 7.9031 Å
α = 90.00°, β = 90.00°, γ = 124.94°
Fractional positions:
La (0.1539, 0.8461, 0.9048)
La (0.3461, 0.6539, 0.4048)
La (0.6539, 0.3461, 0.5952)
La (0.8461, 0.1539, 0.0952)
Ni (0.0000, 0.0000, 0.5000)
Ni (0.1579, 0.3421, 0.7500)
Ni (0.3421, 0.1579, 0.2500)
Ni (0.5000, 0.5000, 0.0000)
Ni (0.6579, 0.8421, 0.7500)
Ni (0.8421, 0.6579, 0.2500)

=====

For Sr2Mg, DFT lattice parameters and positions (PBE) gives the calculated powder diffraction line list in this record (Cu Ka).
Kinematic intensities with the Lorentz-polarization factor, no thermal factor.

Most intense lines, 10° ≤ 2θ ≤ 80°, low angle first:
| 2θ/deg | intensity |
| --- | --- |
| 20.01 | 9 |
| 26.04 | 100 |
| 26.36 | 15 |
| 30.03 | 10 |
| 31.89 | 22 |
| 33.32 | 19 |
| 44.16 | 22 |
| 46.33 | 21 |
| 51.37 | 17 |
| 57.58 | 11 |

a = 7.1271 Å, b = 7.1271 Å, c = 7.1271 Å
α = 103.00°, β = 103.00°, γ = 123.37°
Fractional positions:
Sr (0.1653, 0.6653, 0.8307)
Sr (0.3347, 0.1653, 0.5000)
Sr (0.6653, 0.8347, 0.5000)
Sr (0.8347, 0.3347, 0.1693)
Mg (0.2500, 0.2500, 0.0000)
Mg (0.7500, 0.7500, 0.0000)

=====

For Al2SiO5, DFT lattice parameters and positions (PBE) gives the calculated powder diffraction line list in this record (Cu Ka).
Kinematic intensities with the Lorentz-polarization factor, no thermal factor.

Most intense lines, 10° ≤ 2θ ≤ 80°, low angle first:
| 2θ/deg | intensity |
| --- | --- |
| 16.34 | 18 |
| 25.75 | 81 |
| 26.17 | 100 |
| 30.74 | 17 |
| 33.02 | 28 |
| 35.00 | 50 |
| 40.52 | 69 |
| 56.96 | 18 |
| 60.25 | 46 |
| 64.02 | 20 |

a = 7.7782 Å, b = 5.8175 Å, c = 7.5732 Å
α = 90.00°, β = 90.00°, γ = 90.00°
Fractional positions:
Al (0.0000, 0.0000, 0.0000)
Al (0.0000, 0.5000, 0.0000)
Al (0.1538, 0.2500, 0.3570)
Al (0.3462, 0.7500, 0.8570)
Al (0.5000, 0.0000, 0.5000)
Al (0.5000, 0.5000, 0.5000)
Al (0.6538, 0.2500, 0.1430)
Al (0.8462, 0.7500, 0.6430)
Si (0.1589, 0.7500, 0.3473)
Si (0.3411, 0.2500, 0.8473)
Si (0.6589, 0.7500, 0.1527)
Si (0.8411, 0.2500, 0.6527)
O (0.0011, 0.2500, 0.5217)
O (0.0656, 0.2500, 0.1426)
O (0.0897, 0.7500, 0.1407)
O (0.2237, 0.0138, 0.8745)
O (0.2237, 0.4862, 0.8745)
O (0.2763, 0.5138, 0.3745)
O (0.2763, 0.9862, 0.3745)
O (0.4103, 0.2500, 0.6407)
O (0.4344, 0.7500, 0.6426)
O (0.4989, 0.7500, 0.0217)
O (0.5011, 0.2500, 0.9783)
O (0.5656, 0.2500, 0.3574)
O (0.5897, 0.7500, 0.3593)
O (0.7237, 0.0138, 0.6255)
O (0.7237, 0.4862, 0.6255)
O (0.7763, 0.5138, 0.1255)
O (0.7763, 0.9862, 0.1255)
O (0.9103, 0.2500, 0.8593)
O (0.9344, 0.7500, 0.8574)
O (0.9989, 0.7500, 0.4783)

=====

For Cs, DFT lattice parameters and positions (PBE) gives the calculated powder diffraction line list in this record (Cu Ka).
Kinematic intensities with the Lorentz-polarization factor, no thermal factor.

Most intense lines, 10° ≤ 2θ ≤ 80°, low angle first:
| 2θ/deg | intensity |
| --- | --- |
| 19.88 | 100 |
| 22.11 | 19 |
| 23.43 | 34 |
| 32.43 | 29 |
| 33.37 | 13 |
| 37.50 | 19 |
| 39.15 | 34 |
| 40.39 | 16 |
| 51.06 | 16 |
| 59.05 | 10 |

a = 5.5307 Å, b = 5.5307 Å, c = 5.5307 Å
α = 121.91°, β = 121.91°, γ = 86.72°
Fractional positions:
Cs (0.0000, 0.0000, 0.0000)

=====

For Te2Mo2WSe2S2, DFT lattice parameters and positions (PBE) gives the calculated powder diffraction line list in this record (Cu Ka).
Kinematic intensities with the Lorentz-polarization factor, no thermal factor.

Most intense lines, 10° ≤ 2θ ≤ 80°, low angle first:
| 2θ/deg | intensity |
| --- | --- |
| 11.44 | 100 |
| 30.81 | 35 |
| 31.36 | 14 |
| 32.96 | 17 |
| 35.49 | 49 |
| 37.05 | 58 |
| 40.68 | 23 |
| 42.72 | 18 |
| 44.87 | 40 |
| 54.80 | 30 |

a = 3.3515 Å, b = 3.3515 Å, c = 30.9388 Å
α = 90.00°, β = 90.00°, γ = 120.00°
Fractional positions:
Te (0.0000, 0.0000, 0.0000)
Te (0.0000, 0.0000, 0.1232)
Mo (0.0000, 0.0000, 0.8302)
Mo (0.6667, 0.3333, 0.5989)
W (0.6667, 0.3333, 0.0616)
Se (0.0000, 0.0000, 0.5451)
Se (0.0000, 0.0000, 0.6527)
S (0.6667, 0.3333, 0.7813)
S (0.6667, 0.3333, 0.8792)

=====

For SrTl2Cd, DFT lattice parameters and positions (PBE) gives the calculated powder diffraction line list in this record (Cu Ka).
Kinematic intensities with the Lorentz-polarization factor, no thermal factor.

Most intense lines, 10° ≤ 2θ ≤ 80°, low angle first:
| 2θ/deg | intensity |
| --- | --- |
| 22.88 | 12 |
| 32.58 | 100 |
| 40.19 | 4 |
| 46.75 | 18 |
| 52.66 | 6 |
| 58.14 | 38 |
| 68.25 | 12 |
| 73.03 | 3 |
| 77.70 | 17 |

a = 5.4965 Å, b = 5.4965 Å, c = 5.4965 Å
α = 60.00°, β = 60.00°, γ = 60.00°
Fractional positions:
Sr (0.0000, 0.0000, 0.0000)
Tl (0.2500, 0.2500, 0.2500)
Tl (0.7500, 0.7500, 0.7500)
Cd (0.5000, 0.5000, 0.5000)